Structure and computed powder X-ray diffraction pattern of Nb2ZnTe (a crystal structure in Alexandria, relaxed with PBE; λ = 1.5418 Å (Cu Kα)).
No peak broadening, texture or thermal motion is included.

Cell and atoms:
Unit cell a=10.3780 b=10.3780 c=10.3780 alpha=157.71 beta=157.71 gamma=31.73
Sites, in units of the cell vectors:
Nb: 0.1087 0.6250 0.9837
Nb: 0.3750 0.3587 0.4837
Nb: 0.6413 0.1250 0.0163
Nb: 0.8750 0.8913 0.5163
Zn: 0.0000 0.0000 0.0000
Zn: 0.7500 0.2500 0.5000
Te: 0.2500 0.7500 0.5000
Te: 0.5000 0.5000 0.0000

Peak list (10 most intense, 10° ≤ 2θ ≤ 80°, in order of rising 2θ)
2theta  intensity
32.82  100
35.99  39
41.84  51
48.93  63
56.35  21
65.84  13
74.02  18
74.46  9
75.54  17
77.38  16